Record 1
# Ca4MgB4C2O18
Computed X-ray powder pattern, Cu Kα X-rays. Input: the PBE geometry in Alexandria.
Neutral-atom scattering factors, no anomalous dispersion.

Peak list (8 most intense, 15° ≤ 2θ ≤ 90°, by angle)
- 2θ = 24.47°, intensity 41
- 2θ = 29.29°, intensity 32
- 2θ = 30.07°, intensity 38
- 2θ = 30.26°, intensity 34
- 2θ = 33.21°, intensity 100
- 2θ = 33.61°, intensity 51
- 2θ = 40.04°, intensity 48
- 2θ = 55.74°, intensity 32

Cell and atoms:
abc: 10.172 10.172 4.609
angles: 101.91 101.91 45.34
Atoms (fractional coordinates):
Ca 0.080 0.611 0.880
Ca 0.389 0.920 0.120
Ca 0.611 0.080 0.880
Ca 0.920 0.389 0.120
Mg 0.000 0.000 0.000
B 0.092 0.092 0.537
B 0.265 0.735 0.500
B 0.735 0.265 0.500
B 0.908 0.908 0.463
C 0.301 0.301 0.374
C 0.699 0.699 0.626
O 0.094 0.094 0.846
O 0.106 0.795 0.637
O 0.141 0.426 0.235
O 0.161 0.161 0.458
O 0.205 0.894 0.363
O 0.313 0.592 0.261
O 0.335 0.335 0.648
O 0.408 0.687 0.739
O 0.426 0.141 0.235
O 0.574 0.859 0.765
O 0.592 0.313 0.261
O 0.665 0.665 0.352
O 0.687 0.408 0.739
O 0.795 0.106 0.637
O 0.839 0.839 0.542
O 0.859 0.574 0.765
O 0.894 0.205 0.363
O 0.906 0.906 0.154

=====

Record 2
# CeB2C2
Computed X-ray powder pattern, Cu Kα X-rays. Input: the PBE geometry in Alexandria.
Neutral-atom scattering factors, no anomalous dispersion.

Peak list (8 most intense, 15° ≤ 2θ ≤ 90°, by angle)
- 2θ = 23.31°, intensity 84
- 2θ = 23.69°, intensity 24
- 2θ = 33.19°, intensity 36
- 2θ = 33.47°, intensity 100
- 2θ = 41.19°, intensity 55
- 2θ = 53.70°, intensity 27
- 2θ = 53.89°, intensity 20
- 2θ = 59.48°, intensity 25

Cell and atoms:
abc: 3.817 3.817 7.512
angles: 90.00 90.00 90.00
Atoms (fractional coordinates):
Ce 0.000 0.000 0.250
Ce 0.000 0.000 0.750
B 0.218 0.500 0.000
B 0.500 0.218 0.500
B 0.500 0.782 0.500
B 0.782 0.500 0.000
C 0.186 0.500 0.500
C 0.500 0.186 0.000
C 0.500 0.814 0.000
C 0.814 0.500 0.500